Calculated X-ray diffraction stick pattern of B5C7 for Cu Kα, 1.54184 Å, from a structure optimized by DFT (GGA-PBE).
Neutral-atom scattering factors, no anomalous dispersion.

The 10 most intense peaks (10° ≤ 2θ ≤ 90°), sorted by position:
hkl 0 0 1, 2θ 13.32, I 8
hkl 0 0 2, 2θ 26.82, I 8
hkl 0 0 3, 2θ 40.72, I 43
hkl 1 1 -1, 2θ 42.11, I 100
hkl 2 0 1, 2θ 42.23, I 53
hkl 1 1 -4, 2θ 70.15, I 25
hkl 2 0 4, 2θ 70.43, I 11
hkl 0 2 0, 2θ 72.25, I 37
hkl 1 1 5, 2θ 84.59, I 9
hkl 2 2 1, 2θ 87.35, I 12

Structure:
Cell: 4.5274 2.6169 6.6483 Å, 90.00 90.25 90.00°
Element x y z (fractional)
1 B 0.0000 0.0000 0.0000
2 B 0.1332 0.5000 0.4376
3 B 0.3176 0.0000 0.2991
4 B 0.4968 0.5000 0.9940
5 B 0.7065 0.0000 0.4314
6 C 0.1620 0.5000 0.6784
7 C 0.3389 0.0000 0.0733
8 C 0.4968 0.5000 0.7391
9 C 0.6622 0.0000 0.6740
10 C 0.8055 0.5000 0.3194
11 C 0.8218 0.5000 0.0979
12 C 0.9978 0.0000 0.7517